Structure and simulated powder diffraction line list of SrGeWO6 (a DFT-relaxed cell (PBE+U, Alexandria); Cu Kα).

Crystal structure
Unit cell a=4.9149 b=4.9149 c=9.4954 alpha=90.00 beta=90.00 gamma=90.00
Positions (direct):
1 Sr 0.0000 0.0000 0.0000
2 Sr 0.5000 0.5000 0.5000
3 Ge 0.0000 0.0000 0.3292
4 Ge 0.5000 0.5000 0.8292
5 W 0.0000 0.0000 0.6648
6 W 0.5000 0.5000 0.1648
7 O 0.1644 0.1644 0.4918
8 O 0.2224 0.2224 0.1943
9 O 0.2232 0.2232 0.7902
10 O 0.2768 0.7232 0.2902
11 O 0.2776 0.7224 0.6943
12 O 0.3356 0.6644 0.9918
13 O 0.6644 0.3356 0.9918
14 O 0.7224 0.2776 0.6943
15 O 0.7232 0.2768 0.2902
16 O 0.7768 0.7768 0.7902
17 O 0.7776 0.7776 0.1943
18 O 0.8356 0.8356 0.4918

Peak list (8 most intense, 10° ≤ 2θ ≤ 90°, sorted by position)
- 20.35°, intensity 28.9
- 25.63°, intensity 100.0
- 33.68°, intensity 79.0
- 36.57°, intensity 22.2
- 50.56°, intensity 63.6
- 52.67°, intensity 17.6
- 59.47°, intensity 16.2
- 63.99°, intensity 18.4